Diffraction record for PaTlBiO5. The X-ray diffraction stick pattern is calculated, not measured: it uses DFT lattice parameters and positions (PBE) and Cu Kα, 1.54184 Å.
Lines closer than 0.1° are merged.

Structural model:
```
PaTlBiO5
1.0
3.940 -5.292 0.000
3.940 5.292 0.000
-3.257 0.000 7.670
Pa Tl Bi O
2 2 2 10
direct
0.000 0.000 0.000
0.000 0.000 0.500
0.314 0.686 0.750
0.686 0.314 0.250
0.316 0.684 0.250
0.684 0.316 0.750
0.058 0.942 0.750
0.092 0.709 0.396
0.207 0.346 0.077
0.291 0.908 0.104
0.346 0.207 0.577
0.654 0.793 0.423
0.709 0.092 0.896
0.793 0.654 0.923
0.908 0.291 0.604
0.942 0.058 0.250
```

Largest 6 diffraction maxima, most intense first, 2θ = 15–90°:
two_theta, d [Å], I (rel.)
28.13, 3.172, 100.0
23.17, 3.839, 82.2
24.55, 3.626, 79.2
31.47, 2.843, 68.2
28.75, 3.105, 67.2
43.96, 2.060, 44.8

=====

Diffraction record for K3NaSn3Se8. The X-ray diffraction stick pattern is calculated, not measured: it uses DFT lattice parameters and positions (PBE) and Cu Kα, 1.54184 Å.
Lines closer than 0.1° are merged.

Structural model:
```
K3NaSn3Se8
1.0
8.339 0.000 0.000
0.000 8.339 0.000
0.000 0.000 13.910
K Na Sn Se
6 2 6 16
direct
0.250 0.250 0.000
0.250 0.250 0.278
0.250 0.250 0.722
0.750 0.750 0.000
0.750 0.750 0.278
0.750 0.750 0.722
0.250 0.750 0.000
0.750 0.250 0.000
0.250 0.750 0.245
0.250 0.750 0.500
0.250 0.750 0.755
0.750 0.250 0.245
0.750 0.250 0.500
0.750 0.250 0.755
0.070 0.570 0.147
0.070 0.930 0.853
0.087 0.587 0.624
0.087 0.913 0.376
0.413 0.587 0.376
0.413 0.913 0.624
0.430 0.570 0.853
0.430 0.930 0.147
0.570 0.070 0.853
0.570 0.430 0.147
0.587 0.087 0.376
0.587 0.413 0.624
0.913 0.087 0.624
0.913 0.413 0.376
0.930 0.070 0.147
0.930 0.430 0.853
```

Largest 6 diffraction maxima, most intense first, 2θ = 15–90°:
two_theta, d [Å], I (rel.)
27.13, 3.287, 100.0
33.56, 2.671, 90.2
15.02, 5.897, 77.2
30.32, 2.948, 45.4
43.05, 2.101, 44.0
46.15, 1.967, 39.1

=====

Diffraction record for Pm2GaAu3. The X-ray diffraction stick pattern is calculated, not measured: it uses DFT lattice parameters and positions (PBE) and Cu Kα, 1.54184 Å.
Lines closer than 0.1° are merged.

Structural model:
```
Pm2GaAu3
1.0
3.615 0.000 0.000
0.000 4.641 0.000
0.000 0.000 8.157
Pm Ga Au
2 1 3
direct
0.000 0.000 0.000
0.000 0.500 0.483
0.500 0.500 0.818
0.500 0.000 0.332
0.500 0.000 0.674
0.500 0.500 0.140
```

Largest 6 diffraction maxima, most intense first, 2θ = 15–90°:
two_theta, d [Å], I (rel.)
33.28, 2.692, 100.0
38.37, 2.346, 72.3
33.11, 2.705, 46.3
38.80, 2.321, 37.1
65.15, 1.432, 30.8
51.91, 1.761, 26.2

=====

Diffraction record for Ni5Pt7. The X-ray diffraction stick pattern is calculated, not measured: it uses DFT lattice parameters and positions (PBE) and Cu Kα, 1.54184 Å.
Lines closer than 0.1° are merged.

Structural model:
```
Ni5Pt7
1.0
2.726 0.000 0.000
0.000 7.622 0.000
0.000 0.000 8.087
Ni Pt
5 7
direct
0.000 0.000 0.000
0.000 0.500 0.348
0.000 0.500 0.652
0.500 0.262 0.500
0.500 0.738 0.500
0.000 0.000 0.338
0.000 0.000 0.662
0.000 0.500 0.000
0.500 0.254 0.176
0.500 0.254 0.824
0.500 0.746 0.176
0.500 0.746 0.824
```

Largest 6 diffraction maxima, most intense first, 2θ = 15–90°:
two_theta, d [Å], I (rel.)
40.69, 2.217, 100.0
41.01, 2.201, 95.9
47.43, 1.917, 63.4
69.57, 1.351, 39.6
84.04, 1.152, 35.7
47.73, 1.905, 31.4

=====

Diffraction record for PaB2HO6. The X-ray diffraction stick pattern is calculated, not measured: it uses DFT lattice parameters and positions (PBE) and Cu Kα, 1.54184 Å.
Lines closer than 0.1° are merged.

Structural model:
```
PaB2HO6
1.0
4.301 -5.159 0.000
4.301 5.159 0.000
-1.335 0.000 4.160
Pa B H O
2 4 2 12
direct
0.221 0.779 0.750
0.779 0.221 0.250
0.173 0.311 0.892
0.311 0.173 0.392
0.689 0.827 0.608
0.827 0.689 0.108
0.406 0.594 0.250
0.594 0.406 0.750
0.029 0.668 0.297
0.140 0.243 0.185
0.243 0.140 0.685
0.307 0.519 0.971
0.332 0.971 0.203
0.481 0.693 0.529
0.519 0.307 0.471
0.668 0.029 0.797
0.693 0.481 0.029
0.757 0.860 0.315
0.860 0.757 0.815
0.971 0.332 0.703
```

Largest 6 diffraction maxima, most intense first, 2θ = 15–90°:
two_theta, d [Å], I (rel.)
22.52, 3.948, 100.0
28.21, 3.164, 96.7
27.81, 3.208, 84.5
17.19, 5.159, 80.4
21.70, 4.095, 49.3
34.45, 2.603, 48.2

=====

Diffraction record for Pr2Sm2Cd3. The X-ray diffraction stick pattern is calculated, not measured: it uses DFT lattice parameters and positions (PBE) and Cu Kα, 1.54184 Å.
Lines closer than 0.1° are merged.

Structural model:
```
Pr2Sm2Cd3
1.0
-4.766 4.766 4.766
4.766 -4.766 4.766
4.766 4.766 -4.766
Pr Sm Cd
4 4 6
direct
0.000 0.157 0.500
0.157 0.500 0.000
0.343 0.343 0.343
0.500 0.000 0.157
0.000 0.646 0.500
0.500 0.000 0.646
0.646 0.500 0.000
0.854 0.854 0.854
0.116 0.866 0.250
0.250 0.116 0.866
0.384 0.634 0.750
0.634 0.750 0.384
0.750 0.384 0.634
0.866 0.250 0.116
```

Largest 6 diffraction maxima, most intense first, 2θ = 15–90°:
two_theta, d [Å], I (rel.)
29.64, 3.014, 100.0
35.23, 2.547, 75.4
59.82, 1.546, 26.1
48.72, 1.869, 21.2
46.69, 1.946, 20.1
63.23, 1.471, 15.7

=====

Diffraction record for CoCu2Os. The X-ray diffraction stick pattern is calculated, not measured: it uses DFT lattice parameters and positions (PBE) and Cu Kα, 1.54184 Å.
Lines closer than 0.1° are merged.

Structural model:
```
CoCu2Os
1.0
1.318 0.761 8.369
-1.318 0.761 8.369
0.000 -1.522 8.369
Co Cu Os
1 2 1
direct
0.000 0.000 0.000
0.497 0.497 0.497
0.749 0.749 0.749
0.253 0.253 0.253
```

Largest 6 diffraction maxima, most intense first, 2θ = 15–90°:
two_theta, d [Å], I (rel.)
42.12, 2.145, 100.0
49.36, 1.846, 61.8
43.24, 2.092, 30.2
87.46, 1.115, 22.7
21.23, 4.185, 20.0
71.59, 1.318, 19.7

=====

Diffraction record for Ba3BiCl. The X-ray diffraction stick pattern is calculated, not measured: it uses DFT lattice parameters and positions (PBE) and Cu Kα, 1.54184 Å.
Lines closer than 0.1° are merged.

Structural model:
```
Ba3BiCl
1.0
5.954 0.000 0.000
0.000 5.954 0.000
0.000 0.000 5.954
Ba Bi Cl
3 1 1
direct
0.000 0.000 0.500
0.000 0.500 0.000
0.500 0.000 0.000
0.500 0.500 0.500
0.000 0.000 0.000
```

Largest 6 diffraction maxima, most intense first, 2θ = 15–90°:
two_theta, d [Å], I (rel.)
25.92, 3.438, 100.0
30.01, 2.977, 66.3
42.96, 2.105, 49.5
50.86, 1.795, 48.5
70.76, 1.331, 22.8
68.71, 1.366, 20.1

=====

Diffraction record for Nd6TmIn. The X-ray diffraction stick pattern is calculated, not measured: it uses DFT lattice parameters and positions (PBE) and Cu Kα, 1.54184 Å.
Lines closer than 0.1° are merged.

Structural model:
```
Nd6TmIn
1.0
5.031 0.000 0.000
0.000 5.031 0.000
0.000 0.000 10.284
Nd Tm In
6 1 1
direct
0.000 0.000 0.000
0.000 0.000 0.500
0.000 0.500 0.244
0.000 0.500 0.756
0.500 0.000 0.244
0.500 0.000 0.756
0.500 0.500 0.500
0.500 0.500 0.000
```

Largest 6 diffraction maxima, most intense first, 2θ = 15–90°:
two_theta, d [Å], I (rel.)
30.56, 2.925, 100.0
35.70, 2.515, 33.1
60.96, 1.520, 27.9
50.78, 1.798, 24.0
34.90, 2.571, 17.4
59.90, 1.544, 14.4

=====

Diffraction record for Rb3PtCl6. The X-ray diffraction stick pattern is calculated, not measured: it uses DFT lattice parameters and positions (PBE) and Cu Kα, 1.54184 Å.
Lines closer than 0.1° are merged.

Structural model:
```
Rb3PtCl6
1.0
-3.941 3.941 5.393
3.941 -3.941 5.393
3.941 3.941 -5.393
Rb Pt Cl
3 1 6
direct
0.000 0.000 0.000
0.250 0.750 0.500
0.750 0.250 0.500
0.500 0.500 0.000
0.277 0.277 0.553
0.277 0.723 0.000
0.285 0.285 0.000
0.715 0.715 0.000
0.723 0.277 0.000
0.723 0.723 0.447
```

Largest 6 diffraction maxima, most intense first, 2θ = 15–90°:
two_theta, d [Å], I (rel.)
22.95, 3.876, 100.0
32.12, 2.787, 60.8
22.56, 3.941, 51.3
39.84, 2.262, 44.9
46.88, 1.938, 37.2
15.90, 5.573, 26.9

=====

Diffraction record for Cs2SrBrCl3. The X-ray diffraction stick pattern is calculated, not measured: it uses DFT lattice parameters and positions (PBE) and Cu Kα, 1.54184 Å.
Lines closer than 0.1° are merged.

Structural model:
```
Cs2SrBrCl3
1.0
-2.857 2.994 8.797
2.857 -2.994 8.797
2.857 2.994 -8.797
Cs Sr Br Cl
2 1 1 3
direct
0.145 0.145 0.000
0.855 0.855 0.000
0.500 0.500 0.000
0.000 0.500 0.500
0.337 0.337 0.000
0.500 0.000 0.500
0.663 0.663 0.000
```

Largest 6 diffraction maxima, most intense first, 2θ = 15–90°:
two_theta, d [Å], I (rel.)
21.50, 4.134, 100.0
21.72, 4.092, 92.3
29.83, 2.995, 89.3
29.66, 3.012, 87.4
31.31, 2.857, 61.1
37.21, 2.417, 48.1

=====

Diffraction record for PaAl4Ga. The X-ray diffraction stick pattern is calculated, not measured: it uses DFT lattice parameters and positions (PBE) and Cu Kα, 1.54184 Å.
Lines closer than 0.1° are merged.

Structural model:
```
PaAl4Ga
1.0
2.096 -6.283 0.000
2.096 6.283 0.000
0.000 0.000 4.295
Pa Al Ga
1 4 1
direct
0.000 0.000 0.000
0.172 0.828 0.500
0.320 0.680 0.000
0.680 0.320 0.000
0.828 0.172 0.500
0.500 0.500 0.500
```

Largest 6 diffraction maxima, most intense first, 2θ = 15–90°:
two_theta, d [Å], I (rel.)
36.85, 2.439, 100.0
30.63, 2.918, 61.9
43.17, 2.095, 31.8
22.35, 3.977, 25.2
61.86, 1.500, 22.0
28.41, 3.142, 21.5

=====

Diffraction record for BaGaCl5. The X-ray diffraction stick pattern is calculated, not measured: it uses DFT lattice parameters and positions (PBE) and Cu Kα, 1.54184 Å.
Lines closer than 0.1° are merged.

Structural model:
```
BaGaCl5
1.0
5.628 -5.094 0.000
5.628 5.094 0.000
-5.623 0.000 9.733
Ba Ga Cl
2 2 10
direct
0.000 0.500 0.000
0.500 0.000 0.500
0.167 0.833 0.750
0.833 0.167 0.250
0.091 0.187 0.431
0.173 0.582 0.805
0.187 0.091 0.931
0.341 0.659 0.250
0.418 0.827 0.695
0.582 0.173 0.305
0.659 0.341 0.750
0.813 0.909 0.069
0.827 0.418 0.195
0.909 0.813 0.569
```

Largest 6 diffraction maxima, most intense first, 2θ = 15–90°:
two_theta, d [Å], I (rel.)
18.02, 4.923, 100.0
18.21, 4.871, 69.6
25.73, 3.463, 37.7
17.41, 5.094, 37.7
36.50, 2.462, 32.9
30.76, 2.907, 23.1